Entry 1:
Theoretical powder diffraction line list of As2S3N2F12 for Cu Kα (λ = 1.5418 Å), from a structure optimized by DFT (PBE).
Lines closer than 0.1° are merged.

```
As2S3N2F12
1.0
6.3867 -4.3004 0.0000
6.3867 4.3004 0.0000
-0.4361 0.0000 10.8818
As S N F
4 6 4 24
Direct
0.0000 0.0000 0.0000
0.3794 0.3494 0.7514
0.6506 0.6206 0.2486
0.9925 0.0075 0.5000
0.1990 0.5122 0.2440
0.4126 0.1594 0.1504
0.4171 0.1727 0.3477
0.4878 0.8010 0.7560
0.8273 0.5829 0.6523
0.8406 0.5874 0.8496
0.2805 0.3669 0.1316
0.2861 0.3823 0.3604
0.6177 0.7139 0.6396
0.6331 0.7195 0.8684
0.0633 0.7729 0.0619
0.0758 0.8014 0.4068
0.0831 0.0782 0.1367
0.1022 0.1175 0.4045
0.1428 0.3515 0.7472
0.1986 0.9242 0.5932
0.2271 0.9367 0.9381
0.3091 0.5270 0.8667
0.3107 0.5196 0.6361
0.4424 0.1685 0.6366
0.4416 0.1743 0.8648
0.4730 0.6909 0.1333
0.4804 0.6893 0.3639
0.6074 0.3533 0.7570
0.6467 0.3926 0.2430
0.6484 0.8572 0.2528
0.7741 0.0648 0.0623
0.7858 0.0936 0.4071
0.8257 0.5584 0.1352
0.8315 0.5576 0.3634
0.8825 0.8978 0.5955
0.9064 0.2142 0.5929
0.9218 0.9169 0.8633
0.9352 0.2259 0.9377
```

Peak list (8 most intense, 15 to 90 degrees two-theta, by angle)
2theta, intensity
20.31, 68
20.72, 100
21.03, 19
21.89, 16
23.33, 72
24.99, 14
26.12, 13
26.47, 11

***

Entry 2:
Theoretical powder diffraction line list of Np2InPd2 for Cu Kα (λ = 1.5418 Å), from a structure optimized by DFT (PBE).
Lines closer than 0.1° are merged.

```
Np2InPd2
1.0
7.6688 0.0000 0.0000
0.0000 7.6688 0.0000
0.0000 0.0000 3.8107
Np In Pd
4 2 4
Direct
0.1725 0.3275 0.0000
0.3275 0.8275 0.0000
0.6725 0.1725 0.0000
0.8275 0.6725 0.0000
0.0000 0.0000 0.5000
0.5000 0.5000 0.5000
0.1300 0.6300 0.5000
0.3700 0.1300 0.5000
0.6300 0.8700 0.5000
0.8700 0.3700 0.5000
```

Peak list (8 most intense, 15 to 90 degrees two-theta, by angle)
2theta, intensity
25.98, 14
33.14, 32
35.21, 100
37.07, 35
47.73, 14
48.98, 12
54.93, 19
61.94, 16